No. 1
NdHo12Er5: computed X-ray powder pattern (Cu Kα), based on the GGA-PBE geometry in Alexandria.
Lines closer than 0.1° are merged.

Cell: 6.125 6.125 17.272 Å, 93.39 93.39 119.99°
Element x y z (fractional)
Nd: 0.000 0.000 0.000
Ho: 0.056 0.390 0.167
Ho: 0.111 0.111 0.333
Ho: 0.222 0.556 0.667
Ho: 0.279 0.279 0.833
Ho: 0.390 0.056 0.167
Ho: 0.444 0.778 0.333
Ho: 0.556 0.222 0.667
Ho: 0.610 0.944 0.833
Ho: 0.721 0.721 0.167
Ho: 0.778 0.444 0.333
Ho: 0.889 0.889 0.667
Ho: 0.944 0.610 0.833
Er: 0.166 0.834 0.500
Er: 0.333 0.667 0.000
Er: 0.500 0.500 0.500
Er: 0.667 0.333 0.000
Er: 0.834 0.166 0.500

Peak list (6 most intense, 2θ from 15° to 90°, by angle)
2θ = 30.45°, I = 92
2θ = 31.29°, I = 87
2θ = 32.38°, I = 100
2θ = 34.07°, I = 86
2θ = 51.70°, I = 64
2θ = 61.69°, I = 75



No. 2
Nd3Ho6Er: computed X-ray powder pattern (Cu Kα), based on the GGA-PBE geometry in Alexandria.
Lines closer than 0.1° are merged.

Cell: 10.907 10.907 6.329 Å, 90.00 90.00 119.75°
Element x y z (fractional)
Nd: 0.112 0.888 0.500
Nd: 0.212 0.438 0.106
Nd: 0.438 0.212 0.606
Nd: 0.562 0.788 0.106
Nd: 0.788 0.562 0.606
Nd: 0.888 0.112 0.000
Ho: 0.031 0.450 0.700
Ho: 0.121 0.213 0.522
Ho: 0.213 0.121 0.022
Ho: 0.228 0.772 0.922
Ho: 0.450 0.031 0.200
Ho: 0.460 0.540 0.693
Ho: 0.540 0.460 0.193
Ho: 0.550 0.969 0.700
Ho: 0.772 0.228 0.422
Ho: 0.787 0.879 0.522
Ho: 0.879 0.787 0.022
Ho: 0.969 0.550 0.200
Er: 0.303 0.697 0.438
Er: 0.697 0.303 0.938

Peak list (6 most intense, 2θ from 15° to 90°, by angle)
2θ = 28.24°, I = 20
2θ = 28.68°, I = 68
2θ = 31.74°, I = 100
2θ = 32.70°, I = 29
2θ = 34.09°, I = 54
2θ = 50.21°, I = 23



No. 3
PmNd2Ho5Er: computed X-ray powder pattern (Cu Kα), based on the GGA-PBE geometry in Alexandria.
Lines closer than 0.1° are merged.

Cell: 9.899 9.899 9.899 Å, 127.92 127.92 76.76°
Element x y z (fractional)
Pm: 0.250 0.250 0.000
Pm: 0.750 0.750 0.000
Nd: 0.117 0.617 0.734
Nd: 0.383 0.117 0.500
Nd: 0.617 0.883 0.500
Nd: 0.883 0.383 0.266
Ho: 0.000 0.000 0.000
Ho: 0.072 0.150 0.500
Ho: 0.150 0.650 0.078
Ho: 0.350 0.428 0.500
Ho: 0.428 0.928 0.078
Ho: 0.500 0.500 0.000
Ho: 0.572 0.072 0.922
Ho: 0.650 0.572 0.500
Ho: 0.850 0.350 0.922
Ho: 0.928 0.850 0.500
Er: 0.250 0.750 0.500
Er: 0.750 0.250 0.500

Peak list (6 most intense, 2θ from 15° to 90°, by angle)
2θ = 28.73°, I = 45
2θ = 29.06°, I = 52
2θ = 30.90°, I = 100
2θ = 37.77°, I = 15
2θ = 43.28°, I = 19
2θ = 52.67°, I = 23



No. 4
PmNdHo6Er2: computed X-ray powder pattern (Cu Kα), based on the GGA-PBE geometry in Alexandria.
Lines closer than 0.1° are merged.

Cell: 8.763 8.763 9.481 Å, 93.40 93.40 117.13°
Element x y z (fractional)
Pm: 0.091 0.909 0.750
Pm: 0.909 0.091 0.250
Nd: 0.470 0.530 0.250
Nd: 0.530 0.470 0.750
Ho: 0.014 0.793 0.383
Ho: 0.064 0.520 0.180
Ho: 0.207 0.986 0.117
Ho: 0.254 0.618 0.557
Ho: 0.382 0.746 0.943
Ho: 0.480 0.936 0.320
Ho: 0.520 0.064 0.680
Ho: 0.618 0.254 0.057
Ho: 0.746 0.382 0.443
Ho: 0.793 0.014 0.883
Ho: 0.936 0.480 0.820
Ho: 0.986 0.207 0.617
Er: 0.199 0.303 0.952
Er: 0.303 0.199 0.452
Er: 0.697 0.801 0.548
Er: 0.801 0.697 0.048

Peak list (6 most intense, 2θ from 15° to 90°, by angle)
2θ = 28.62°, I = 63
2θ = 30.57°, I = 100
2θ = 30.91°, I = 98
2θ = 31.26°, I = 99
2θ = 31.49°, I = 63
2θ = 34.24°, I = 68



No. 5
Pm5NdHoEr2: computed X-ray powder pattern (Cu Kα), based on the GGA-PBE geometry in Alexandria.
Lines closer than 0.1° are merged.

Cell: 10.533 10.533 10.725 Å, 90.00 90.00 148.92°
Element x y z (fractional)
Pm: 0.017 0.983 0.500
Pm: 0.281 0.719 0.786
Pm: 0.298 0.702 0.182
Pm: 0.392 0.608 0.502
Pm: 0.480 0.520 0.219
Pm: 0.520 0.480 0.719
Pm: 0.608 0.392 0.002
Pm: 0.702 0.298 0.682
Pm: 0.719 0.281 0.286
Pm: 0.983 0.017 0.000
Nd: 0.201 0.799 0.487
Nd: 0.799 0.201 0.987
Ho: 0.411 0.589 0.935
Ho: 0.589 0.411 0.435
Er: 0.110 0.890 0.216
Er: 0.116 0.884 0.795
Er: 0.884 0.116 0.295
Er: 0.890 0.110 0.716

Peak list (6 most intense, 2θ from 15° to 90°, by angle)
2θ = 27.65°, I = 15
2θ = 29.91°, I = 33
2θ = 31.71°, I = 38
2θ = 31.87°, I = 100
2θ = 33.42°, I = 12
2θ = 56.58°, I = 20



No. 6
PmNdHo4Er2: computed X-ray powder pattern (Cu Kα), based on the GGA-PBE geometry in Alexandria.
Lines closer than 0.1° are merged.

Cell: 9.485 9.485 6.785 Å, 110.95 110.95 88.56°
Element x y z (fractional)
Pm: 0.000 0.500 0.000
Pm: 0.500 0.000 0.500
Nd: 0.000 0.000 0.000
Nd: 0.000 0.000 0.500
Ho: 0.252 0.256 0.506
Ho: 0.254 0.746 0.501
Ho: 0.254 0.746 0.999
Ho: 0.256 0.252 0.006
Ho: 0.744 0.748 0.994
Ho: 0.746 0.254 0.001
Ho: 0.746 0.254 0.499
Ho: 0.748 0.744 0.494
Er: 0.000 0.500 0.500
Er: 0.500 0.000 0.000
Er: 0.500 0.500 0.000
Er: 0.500 0.500 0.500

Peak list (6 most intense, 2θ from 15° to 90°, by angle)
2θ = 26.93°, I = 45
2θ = 30.40°, I = 100
2θ = 41.06°, I = 89
2θ = 54.02°, I = 20
2θ = 61.38°, I = 27
2θ = 64.61°, I = 23